Record 1
The following is a simulated XRD peak list of Cs2Te3As. It was derived from a structure optimized by DFT (GGA-PBE), using CuKα.

Principal peaks in the range 2θ from 10° to 90°, in order of rising 2θ:
2θ/deg	intensity	h k l
24.2	245	1 2 1
24.6	423	3 0 -2
24.8	328	1 1 -3
25.1	443	1 1 2
25.3	316	2 1 -3
26.3	1000	2 2 0
27.8	410	0 1 3
31.9	626	1 3 -2
37.4	216	4 0 0
45.4	185	0 3 4

Structure:
```
data_Cs2Te3As
_chemical_formula_sum 'Cs8 Te12 As4'
_cell_length_a 11.0199
_cell_length_b 9.5898
_cell_length_c 11.7247
_cell_angle_alpha 90.00
_cell_angle_beta 119.21
_cell_angle_gamma 90.00
_space_group_name_H-M_alt 'P 1 21/c 1'
_space_group_IT_number 14
loop_
_space_group_symop_operation_xyz
'x,y,z'
'-x,-y,-z'
'-x,y+1/2,-z+1/2'
'x,-y+1/2,z+1/2'
loop_
_atom_site_label
_atom_site_type_symbol
_atom_site_fract_x
_atom_site_fract_y
_atom_site_fract_z
Cs1 Cs 0.2359 0.1052 0.0333
Cs2 Cs 0.2391 0.5917 0.1930
Te1 Te 0.0247 0.7231 0.8277
Te2 Te 0.1920 0.0073 0.3480
Te3 Te 0.4994 0.7191 0.6107
As1 As 0.4541 0.6020 0.9280
```

Record 2
The following is a simulated XRD peak list of Cs4Tl5As. It was derived from a structure optimized by DFT (GGA-PBE), using CuKα.

Principal peaks in the range 2θ from 10° to 90°, in order of rising 2θ:
2θ/deg	intensity	h k l
11.2	455	1 1 0
13.8	596	1 0 1
22.6	725	0 0 2
25.3	1000	3 1 0
31.1	288	2 3 1
32.1	883	2 2 2
34.1	997	1 3 2
42.1	333	3 0 3
45.3	422	5 2 1
53.3	415	3 1 4

Structure:
```
data_Cs4Tl5As
_chemical_formula_sum 'Cs8 Tl10 As2'
_cell_length_a 11.1448
_cell_length_b 11.1448
_cell_length_c 7.8842
_cell_angle_alpha 90.00
_cell_angle_beta 90.00
_cell_angle_gamma 90.00
_space_group_name_H-M_alt 'I 4'
_space_group_IT_number 79
loop_
_space_group_symop_operation_xyz
'x,y,z'
'-y,x,z'
'-x,-y,z'
'y,-x,z'
'x+1/2,y+1/2,z+1/2'
'-y+1/2,x+1/2,z+1/2'
'-x+1/2,-y+1/2,z+1/2'
'y+1/2,-x+1/2,z+1/2'
loop_
_atom_site_label
_atom_site_type_symbol
_atom_site_fract_x
_atom_site_fract_y
_atom_site_fract_z
Cs1 Cs 0.0589 0.7158 0.0000
Tl1 Tl 0.0000 0.0000 0.2850
Tl2 Tl 0.0739 0.7857 0.5115
As1 As 0.0000 0.0000 0.6963
```

Record 3
The following is a simulated XRD peak list of Cs6As4W. It was derived from a structure optimized by DFT (GGA-PBE), using CuKα.

Principal peaks in the range 2θ from 10° to 90°, in order of rising 2θ:
2θ/deg	intensity	h k l
13.5	255	1 0 1
21.8	295	1 0 2
26.5	1000	2 1 1
27.2	641	2 0 2
29.6	417	3 0 1
31.3	343	1 0 3
32.3	546	2 2 0
45.9	210	3 2 2
48.5	217	5 0 1
51.5	278	3 2 3

Structure:
```
data_Cs6As4W
_chemical_formula_sum 'Cs12 As8 W2'
_cell_length_a 11.0889
_cell_length_b 11.0889
_cell_length_c 8.9910
_cell_angle_alpha 90.00
_cell_angle_beta 90.00
_cell_angle_gamma 120.00
_space_group_name_H-M_alt 'P 63 m c'
_space_group_IT_number 186
_space_group_name_Hall 'P 6c -2c'
loop_
_atom_site_label
_atom_site_type_symbol
_atom_site_fract_x
_atom_site_fract_y
_atom_site_fract_z
Cs1 Cs 0.0708 0.5354 0.0000
Cs2 Cs 0.1466 0.2931 0.3167
As1 As 0.2128 0.4255 0.6892
As2 As 0.3333 0.6667 0.3337
W1 W 0.3333 0.6667 0.6038
```

Record 4
The following is a simulated XRD peak list of Cs3ZnAs2. It was derived from a structure optimized by DFT (GGA-PBE), using CuKα.

Principal peaks in the range 2θ from 10° to 90°, in order of rising 2θ:
2θ/deg	intensity	h k l
11.8	354	0 2 0
23.9	527	2 2 0
26.3	585	0 2 2
28.6	1000	1 4 1
29.9	186	2 3 1
31.4	674	2 0 2
31.8	455	3 1 0
33.6	295	0 4 2
44.5	293	1 4 3
48.6	191	2 6 2

Structure:
```
data_Cs3ZnAs2
_chemical_formula_sum 'Cs12 Zn4 As8'
_cell_length_a 8.6003
_cell_length_b 14.9491
_cell_length_c 7.5978
_cell_angle_alpha 90.00
_cell_angle_beta 90.00
_cell_angle_gamma 90.00
_space_group_name_H-M_alt 'I b a m'
_space_group_IT_number 72
_space_group_name_Hall '-I 2 2c'
loop_
_atom_site_label
_atom_site_type_symbol
_atom_site_fract_x
_atom_site_fract_y
_atom_site_fract_z
Cs1 Cs 0.0000 0.0000 0.2500
Cs2 Cs 0.2018 0.3229 0.0000
Zn1 Zn 0.0000 0.5000 0.2500
As1 As 0.1600 0.4264 0.5000
```

Record 5
The following is a simulated XRD peak list of Cs4Zn5As6. It was derived from a structure optimized by DFT (GGA-PBE), using CuKα.

Principal peaks in the range 2θ from 10° to 90°, in order of rising 2θ:
2θ/deg	intensity	h k l
24.4	881	1 1 3
27.0	481	1 1 4
27.4	234	0 2 6
27.9	233	0 4 5
30.3	610	1 5 1
31.5	275	0 4 6
32.8	1000	1 5 3
34.8	244	0 0 8
40.9	558	2 0 0
45.9	469	1 7 6

Structure:
```
data_Cs4Zn5As6
_chemical_formula_sum 'Cs16 Zn20 As24'
_cell_length_a 4.4091
_cell_length_b 20.1933
_cell_length_c 20.6347
_cell_angle_alpha 90.00
_cell_angle_beta 90.00
_cell_angle_gamma 90.00
_space_group_name_H-M_alt 'C m c 21'
_space_group_IT_number 36
loop_
_space_group_symop_operation_xyz
'x,y,z'
'-x,-y,z+1/2'
'-x,y,z'
'x,-y,z+1/2'
'x+1/2,y+1/2,z'
'-x+1/2,-y+1/2,z+1/2'
'-x+1/2,y+1/2,z'
'x+1/2,-y+1/2,z+1/2'
loop_
_atom_site_label
_atom_site_type_symbol
_atom_site_fract_x
_atom_site_fract_y
_atom_site_fract_z
Cs1 Cs 0.0000 0.0578 0.0000
Cs2 Cs 0.0000 0.0577 0.2650
Cs3 Cs 0.0000 0.2465 0.2954
Cs4 Cs 0.0000 0.2466 0.9691
Zn1 Zn 0.0000 0.0641 0.6323
Zn2 Zn 0.0000 0.2146 0.6323
Zn3 Zn 0.0000 0.3673 0.6323
Zn4 Zn 0.0000 0.4221 0.0296
Zn5 Zn 0.0000 0.4220 0.2353
As1 As 0.0000 0.1412 0.5325
As2 As 0.0000 0.1413 0.7320
As3 As 0.0000 0.1962 0.1323
As4 As 0.0000 0.4469 0.3591
As5 As 0.0000 0.4472 0.9058
As6 As 0.0000 0.4952 0.6325
```

Record 6
The following is a simulated XRD peak list of Cs3Zn4As4. It was derived from a structure optimized by DFT (GGA-PBE), using CuKα.

Principal peaks in the range 2θ from 10° to 90°, in order of rising 2θ:
2θ/deg	intensity	h k l
25.7	380	2 1 1
29.8	772	2 2 0
33.4	1000	3 1 0
45.4	362	3 3 0
48.0	491	4 2 0
50.5	174	3 3 2
61.9	201	4 4 0
64.1	220	4 3 3
66.1	203	6 0 0
85.8	178	6 4 2

Structure:
```
data_Cs3Zn4As4
_chemical_formula_sum 'Cs6 Zn8 As8'
_cell_length_a 8.4769
_cell_length_b 8.4769
_cell_length_c 8.4769
_cell_angle_alpha 90.00
_cell_angle_beta 90.00
_cell_angle_gamma 90.00
_space_group_name_H-M_alt 'I -4 3 m'
_space_group_IT_number 217
_space_group_name_Hall 'I -4 2 3'
loop_
_atom_site_label
_atom_site_type_symbol
_atom_site_fract_x
_atom_site_fract_y
_atom_site_fract_z
Cs1 Cs 0.0000 0.0000 0.5000
Zn1 Zn 0.1434 0.1434 0.8566
As1 As 0.1655 0.1655 0.1655
```

Record 7
The following is a simulated XRD peak list of CuAs2. It was derived from a structure optimized by DFT (GGA-PBE), using CuKα.

Principal peaks in the range 2θ from 10° to 90°, in order of rising 2θ:
2θ/deg	intensity	h k l
27.2	252	0 2 1
32.8	246	0 2 2
34.8	1000	1 1 2
42.3	358	1 1 3
47.0	468	1 3 1
49.9	281	0 2 4
50.1	210	2 0 0
50.7	112	1 3 2
73.4	170	2 2 4
79.9	171	1 5 3

Structure:
```
data_CuAs2
_chemical_formula_sum 'Cu4 As8'
_cell_length_a 3.6416
_cell_length_b 7.1133
_cell_length_c 8.5179
_cell_angle_alpha 90.00
_cell_angle_beta 90.00
_cell_angle_gamma 90.00
_space_group_name_H-M_alt 'C m c e'
_space_group_IT_number 64
_space_group_name_Hall '-C 2ac 2'
loop_
_atom_site_label
_atom_site_type_symbol
_atom_site_fract_x
_atom_site_fract_y
_atom_site_fract_z
Cu1 Cu 0.0000 0.0000 0.0000
As1 As 0.0000 0.1973 0.3595
```

Record 8
The following is a simulated XRD peak list of Cu4As. It was derived from a structure optimized by DFT (GGA-PBE), using CuKα.

Principal peaks in the range 2θ from 10° to 90°, in order of rising 2θ:
2θ/deg	intensity	h k l
31.2	47	2 1 0
42.3	1000	2 2 1
44.7	573	3 1 0
47.0	245	3 1 1
53.5	94	3 1 2
61.4	53	4 1 1
65.1	56	4 0 2
75.7	249	4 1 3
77.4	47	5 1 1
80.8	203	5 2 0

Structure:
```
data_Cu4As
_chemical_formula_sum 'Cu16 As4'
_cell_length_a 6.4075
_cell_length_b 6.4075
_cell_length_c 6.4075
_cell_angle_alpha 90.00
_cell_angle_beta 90.00
_cell_angle_gamma 90.00
_space_group_name_H-M_alt 'P 21 3'
_space_group_IT_number 198
_space_group_name_Hall 'P 2ac 2ab 3'
loop_
_atom_site_label
_atom_site_type_symbol
_atom_site_fract_x
_atom_site_fract_y
_atom_site_fract_z
Cu1 Cu 0.0431 0.1120 0.7944
Cu2 Cu 0.1938 0.1938 0.1938
As1 As 0.0670 0.9330 0.4330
```